Computed powder XRD pattern of Cs4BaV6O18 for λ = 1.5418 Å (Cu Kα), from the PBE+U geometry in Alexandria.

Crystal structure
```
Cs4BaV6O18
1.0
7.1152 4.1080 6.7963
-7.1152 4.1080 6.7963
0.0000 -8.2160 6.7963
Cs Ba V O
8 2 12 36
Cartesian
0.0000 0.0000 0.0000 Cs
-5.8437 0.1119 10.1184 Cs
-1.2716 -3.9960 13.5165 Cs
2.8249 -5.1167 10.1184 Cs
0.0000 0.0000 10.1944 Cs
-2.8249 3.0992 13.5165 Cs
3.0188 5.0048 10.1184 Cs
4.0964 0.8968 13.5165 Cs
0.0000 0.0000 5.5870 Ba
0.0000 0.0000 15.7814 Ba
-4.0291 -3.3998 10.7321 V
-3.0861 0.7081 7.3340 V
-1.0182 -5.0257 9.5769 V
0.9298 -3.0267 7.3340 V
-3.8433 3.3946 9.5769 V
-3.2720 -0.7133 12.9750 V
2.1563 2.3186 7.3340 V
-0.9298 5.1893 10.7321 V
2.2538 -2.4770 12.9750 V
4.9589 -1.7894 10.7321 V
1.0182 3.1903 12.9750 V
4.8615 1.6310 9.5769 V
-1.9578 -1.2726 3.9276 O
-4.6946 -0.0662 6.9805 O
-4.6145 -2.6180 9.3713 O
-1.6366 -6.0975 8.4628 O
-2.4206 -4.1742 10.3787 O
-0.0400 -2.9106 5.9732 O
-2.5007 1.4899 5.9732 O
-1.9348 -0.4611 7.6984 O
-3.8008 -2.2443 12.1284 O
-3.3144 1.8637 8.7303 O
0.0432 -3.8022 8.7303 O
-0.1231 2.3318 3.9277 O
-4.4622 4.4661 8.4629 O
2.0810 -1.0593 3.9277 O
2.4047 -4.0325 6.9805 O
-2.6530 0.3581 11.8610 O
1.3668 -1.4450 7.6984 O
0.5681 1.9061 7.6984 O
-2.0810 -1.0593 14.1220 O
-2.4046 4.1834 10.3786 O
2.5407 1.4207 5.9732 O
1.0164 -2.4766 11.8610 O
2.2900 4.0988 6.9805 O
4.5746 -2.6873 9.3713 O
0.0400 5.3053 9.3713 O
-1.3668 -1.4450 17.8928 O
3.2712 1.9385 8.7303 O
-0.0432 4.4138 12.1284 O
3.8440 -2.1695 12.1284 O
1.9578 -1.2726 14.1220 O
1.6366 2.1185 11.8610 O
0.1232 2.3318 14.1220 O
4.8253 -0.0092 10.3787 O
6.0988 1.6314 8.4628 O
-0.5680 1.9061 17.8928 O
1.9348 -0.4611 17.8928 O
```

Top 8 peaks for 2θ = 10–90°, sorted by position:
- 2θ 21.6, intensity 44
- 2θ 22.6, intensity 93
- 2θ 25.9, intensity 71
- 2θ 26.4, intensity 100
- 2θ 29.1, intensity 47
- 2θ 34.2, intensity 55
- 2θ 36.3, intensity 35
- 2θ 40.7, intensity 34